1.
This entry pairs a crystal structure of Li2CePtO4 with its calculated powder XRD pattern. Radiation: Cu Kα (λ = 1.5418 Å). Structure: a DFT-relaxed cell (GGA-PBE, Alexandria).
Intensities are scaled so that the largest is 100.

The 12 most intense peaks (2θ from 5° to 70°), low angle first:
Position (°2θ), d (Å), I (rel.)
21.48, 4.138, 100
29.28, 3.050, 35
30.56, 2.926, 30
36.60, 2.455, 59
42.83, 2.111, 22
43.76, 2.069, 25
49.24, 1.850, 22
53.52, 1.712, 24
58.33, 1.582, 31
63.60, 1.463, 8
65.20, 1.431, 10
69.51, 1.352, 7

Structure:
```
data_Li2CePtO4
_chemical_formula_sum 'Li4 Ce2 Pt2 O8'
_symmetry_space_group_name_H-M 'I 4/m m m'
_symmetry_Int_Tables_number 139
_symmetry_space_group_name_Hall '-I 4 2'
_cell_length_a 5.8515
_cell_length_b 5.8515
_cell_length_c 6.1002
_cell_angle_alpha 90.00
_cell_angle_beta 90.00
_cell_angle_gamma 90.00
loop_
_atom_site_label
_atom_site_type_symbol
_atom_site_fract_x
_atom_site_fract_y
_atom_site_fract_z
Li1 Li 0.0000 0.5000 0.2500
Ce1 Ce 0.0000 0.0000 0.0000
Pt1 Pt 0.0000 0.0000 0.5000
O1 O 0.2421 0.2421 0.5000
```

---

2.
This entry pairs a crystal structure of NdZn11Au with its calculated powder XRD pattern. Radiation: Cu Kα (λ = 1.5418 Å). Structure: a DFT-relaxed cell (GGA-PBE, Alexandria).
Intensities are scaled so that the largest is 100.

The 12 most intense peaks (2θ from 5° to 70°), low angle first:
Position (°2θ), d (Å), I (rel.)
13.94, 6.355, 22
19.35, 4.588, 23
27.75, 3.215, 24
27.98, 3.189, 30
34.45, 2.603, 43
39.22, 2.297, 64
39.43, 2.286, 59
39.89, 2.260, 100
40.17, 2.245, 98
44.31, 2.044, 50
45.06, 2.012, 19
45.25, 2.004, 19

Structure:
```
data_NdZn11Au
_chemical_formula_sum 'Nd2 Zn22 Au2'
_symmetry_space_group_name_H-M 'C 1 2/m 1'
_symmetry_Int_Tables_number 12
_symmetry_space_group_name_Hall '-C 2y'
_cell_length_a 5.3293
_cell_length_b 12.7300
_cell_length_c 6.8511
_cell_angle_alpha 90.00
_cell_angle_beta 112.42
_cell_angle_gamma 90.00
loop_
_atom_site_label
_atom_site_type_symbol
_atom_site_fract_x
_atom_site_fract_y
_atom_site_fract_z
Nd1 Nd 0.0000 0.0000 0.0000
Zn1 Zn 0.0000 0.5000 0.5000
Zn2 Zn 0.1026 0.3882 0.2172
Zn3 Zn 0.1801 0.1794 0.3534
Zn4 Zn 0.2500 0.2500 0.0000
Au1 Au 0.0000 0.0000 0.5000
```

---

3.
This entry pairs a crystal structure of Er7AuS5 with its calculated powder XRD pattern. Radiation: Cu Kα (λ = 1.5418 Å). Structure: a DFT-relaxed cell (GGA-PBE, Alexandria).
Intensities are scaled so that the largest is 100.

The 12 most intense peaks (2θ from 5° to 70°), low angle first:
Position (°2θ), d (Å), I (rel.)
28.65, 3.115, 39
29.04, 3.075, 20
30.31, 2.949, 100
30.93, 2.891, 39
32.29, 2.773, 94
33.44, 2.679, 62
42.70, 2.118, 24
45.41, 1.997, 18
46.11, 1.969, 18
46.99, 1.934, 31
47.18, 1.926, 31
57.11, 1.613, 34

Structure:
```
data_Er7AuS5
_chemical_formula_sum 'Er14 Au2 S10'
_symmetry_space_group_name_H-M 'P 1 21/m 1'
_symmetry_Int_Tables_number 11
_symmetry_space_group_name_Hall '-P 2yb'
_cell_length_a 3.8529
_cell_length_b 23.2779
_cell_length_c 6.6584
_cell_angle_alpha 90.00
_cell_angle_beta 106.71
_cell_angle_gamma 90.00
loop_
_atom_site_label
_atom_site_type_symbol
_atom_site_fract_x
_atom_site_fract_y
_atom_site_fract_z
Er1 Er 0.0282 0.2500 0.0555
Er2 Er 0.1365 0.5362 0.2741
Er3 Er 0.3141 0.1756 0.6284
Er4 Er 0.4100 0.6088 0.8195
Au1 Au 0.2981 0.7500 0.5965
S1 S 0.0477 0.6405 0.0954
S2 S 0.2262 0.0702 0.4517
S3 S 0.5000 0.0000 0.0000
```